Record 1
Diffraction record for PrMgGa6. The X-ray diffraction stick pattern is simulated, not measured: it uses DFT lattice parameters and positions (GGA-PBE) and Cu Kα (weighted mean of Kα1 and Kα2).
Lines closer than 0.1° are merged.

Structural model:
abc: 4.417 6.609 5.560
angles: 90.00 90.00 90.00
Space group Pmm2 (No. 25)
Asymmetric unit:
Pr 0.000 0.000 0.000 x1
Mg 0.500 0.500 0.288 x1
Ga 0.000 0.268 0.485 x2
Ga 0.000 0.500 0.961 x1
Ga 0.500 0.000 0.432 x1
Ga 0.500 0.289 0.798 x2

Principal peaks in the range 10° ≤ 2θ ≤ 90°, by angle:
2theta	I/Imax
29.14	19
31.49	25
32.20	16
37.65	100
38.25	38
40.86	28
52.48	12
56.97	11
72.28	14
72.46	11

Record 2
Diffraction record for La3YSb4. The X-ray diffraction stick pattern is simulated, not measured: it uses DFT lattice parameters and positions (GGA-PBE) and Cu Kα (weighted mean of Kα1 and Kα2).
Lines closer than 0.1° are merged.

Structural model:
abc: 9.131 12.915 4.574
angles: 90.00 90.00 90.00
Space group Cmmm (No. 65)
Asymmetric unit:
La 0.000 0.000 0.000 x2
La 0.250 0.250 0.500 x4
Y 0.000 0.500 0.000 x2
Sb 0.000 0.254 0.000 x4
Sb 0.242 0.500 0.500 x4

Principal peaks in the range 10° ≤ 2θ ≤ 90°, by angle:
2theta	I/Imax
27.61	100
39.45	76
48.83	27
57.02	13
64.47	18
64.53	17
71.50	13
71.59	13
84.77	1
84.93	7